# 1
Computed PXRD pattern of CePrEr2Tm for Cu Kα X-rays, from a crystal structure in Alexandria, relaxed with PBE.
No peak broadening, texture or thermal motion is included.

The 8 most intense peaks (10° ≤ 2θ ≤ 90°), by intensity:
2θ = 30.68°, 2.914 Å, I = 100; 2θ = 31.18°, 2.869 Å, I = 48; 2θ = 54.72°, 1.677 Å, I = 37; 2θ = 35.30°, 2.543 Å, I = 25; 2θ = 30.80°, 2.903 Å, I = 25; 2θ = 49.38°, 1.845 Å, I = 20; 2θ = 37.47°, 2.400 Å, I = 19; 2θ = 33.20°, 2.699 Å, I = 19

Crystal structure
a = 5.805 Å, b = 7.588 Å, c = 7.328 Å
α = 90.00°, β = 90.00°, γ = 90.00°
Space group Pmma (No. 51)
One atom of each set of equivalent atoms:
Ce 0.000 0.000 0.000 [2 per cell]
Pr 0.250 0.500 0.163 [2 per cell]
Er 0.250 0.286 0.674 [4 per cell]
Tm 0.250 0.000 0.378 [2 per cell]

***

# 2
Computed PXRD pattern of Ac3TlTc for Cu Kα X-rays, from a crystal structure in Alexandria, relaxed with PBE.
No peak broadening, texture or thermal motion is included.

The 8 most intense peaks (10° ≤ 2θ ≤ 90°), by intensity:
2θ = 27.45°, 3.250 Å, I = 100; 2θ = 28.92°, 3.088 Å, I = 55; 2θ = 32.57°, 2.749 Å, I = 44; 2θ = 27.74°, 3.216 Å, I = 44; 2θ = 29.30°, 3.048 Å, I = 42; 2θ = 27.57°, 3.235 Å, I = 40; 2θ = 43.41°, 2.084 Å, I = 38; 2θ = 28.41°, 3.142 Å, I = 37

Crystal structure
a = 18.294 Å, b = 4.169 Å, c = 9.429 Å
α = 90.00°, β = 91.64°, γ = 90.00°
Space group C2/m (No. 12)
One atom of each set of equivalent atoms:
Ac 0.048 0.000 0.202 [4 per cell]
Ac 0.102 0.500 0.551 [4 per cell]
Ac 0.250 0.000 0.803 [4 per cell]
Tl 0.107 0.500 0.924 [4 per cell]
Tc 0.219 0.000 0.479 [4 per cell]

***

# 3
Computed PXRD pattern of Mg2H5Ir3 for Cu Kα X-rays, from a crystal structure in Alexandria, relaxed with PBE.
No peak broadening, texture or thermal motion is included.

The 8 most intense peaks (10° ≤ 2θ ≤ 90°), by intensity:
2θ = 12.71°, 6.962 Å, I = 100; 2θ = 36.05°, 2.491 Å, I = 52; 2θ = 39.71°, 2.270 Å, I = 50; 2θ = 42.29°, 2.137 Å, I = 48; 2θ = 25.59°, 3.481 Å, I = 34; 2θ = 38.80°, 2.321 Å, I = 32; 2θ = 41.56°, 2.173 Å, I = 23; 2θ = 42.80°, 2.113 Å, I = 22

Crystal structure
a = 2.930 Å, b = 4.832 Å, c = 7.180 Å
α = 82.24°, β = 78.23°, γ = 90.00°
Space group P1 (No. 1)
One atom of each set of equivalent atoms:
Mg 0.000 0.000 0.000 [1 per cell]
Mg 0.181 0.614 0.637 [1 per cell]
H 0.208 0.039 0.581 [1 per cell]
H 0.584 0.801 0.829 [1 per cell]
H 0.602 0.300 0.794 [1 per cell]
H 0.777 0.286 0.443 [1 per cell]
H 0.937 0.409 0.125 [1 per cell]
Ir 0.327 0.110 0.344 [1 per cell]
Ir 0.512 0.483 0.973 [1 per cell]
Ir 0.840 0.637 0.318 [1 per cell]

***

# 4
Computed PXRD pattern of KYBeF6 for Cu Kα X-rays, from a crystal structure in Alexandria, relaxed with PBE.
No peak broadening, texture or thermal motion is included.

The 8 most intense peaks (10° ≤ 2θ ≤ 90°), by intensity:
2θ = 28.32°, 3.151 Å, I = 100; 2θ = 29.57°, 3.021 Å, I = 71; 2θ = 20.26°, 4.382 Å, I = 60; 2θ = 15.73°, 5.635 Å, I = 51; 2θ = 41.19°, 2.192 Å, I = 43; 2θ = 43.40°, 2.085 Å, I = 34; 2θ = 27.78°, 3.212 Å, I = 33; 2θ = 21.31°, 4.170 Å, I = 27

Crystal structure
a = 6.436 Å, b = 5.874 Å, c = 7.154 Å
α = 90.00°, β = 113.08°, γ = 90.00°
Space group P2_1/m (No. 11)
One atom of each set of equivalent atoms:
K 0.072 0.250 0.202 [2 per cell]
Y 0.390 0.250 0.822 [2 per cell]
Be 0.232 0.750 0.463 [2 per cell]
F 0.010 0.750 0.266 [2 per cell]
F 0.236 0.535 0.594 [4 per cell]
F 0.318 0.502 0.033 [4 per cell]
F 0.440 0.750 0.407 [2 per cell]

***

Repeat the first record exactly.
Computed PXRD pattern of CePrEr2Tm for Cu Kα X-rays, from a crystal structure in Alexandria, relaxed with PBE.
No peak broadening, texture or thermal motion is included.

The 8 most intense peaks (10° ≤ 2θ ≤ 90°), by intensity:
2θ = 30.68°, 2.914 Å, I = 100; 2θ = 31.18°, 2.869 Å, I = 48; 2θ = 54.72°, 1.677 Å, I = 37; 2θ = 35.30°, 2.543 Å, I = 25; 2θ = 30.80°, 2.903 Å, I = 25; 2θ = 49.38°, 1.845 Å, I = 20; 2θ = 37.47°, 2.400 Å, I = 19; 2θ = 33.20°, 2.699 Å, I = 19

Crystal structure
a = 5.805 Å, b = 7.588 Å, c = 7.328 Å
α = 90.00°, β = 90.00°, γ = 90.00°
Space group Pmma (No. 51)
One atom of each set of equivalent atoms:
Ce 0.000 0.000 0.000 [2 per cell]
Pr 0.250 0.500 0.163 [2 per cell]
Er 0.250 0.286 0.674 [4 per cell]
Tm 0.250 0.000 0.378 [2 per cell]

***

Which formula does entry 3 have? Mg2H5Ir3

***

Which formula does entry 4 have? KYBeF6